Computed powder diffractogram of La4Tb5Y for Cu Kα (weighted mean of Kα1 and Kα2), from a crystal structure in Alexandria, relaxed with GGA-PBE.

Largest 12 diffraction maxima, in order of rising 2θ, 10° ≤ 2θ ≤ 90°:
d 3.195, I = 30, (2 2 1)
d 3.064, I = 100, (3 0 1)
d 2.948, I = 55, (3 1 1)
d 2.816, I = 35, (1 0 2)
d 2.546, I = 34, (3 3 0)
d 2.497, I = 17, (2 1 2)
d 1.800, I = 18, (6 0 0)
d 1.736, I = 30, (4 3 2)
d 1.578, I = 13, (4 0 3)
d 1.552, I = 17, (6 3 1)
d 1.378, I = 14, (7 3 1)
d 1.364, I = 13, (7 0 2)

Structural model:
Unit cell a=10.8018 b=10.8018 c=5.8341 alpha=90.00 beta=90.00 gamma=90.00
Space group P4/nmm (No. 129, origin choice 2)
Asymmetric unit:
La1 0.0462 0.7500 0.1258 [8 per cell]
Tb1 0.0904 0.0904 0.3476 [8 per cell]
Tb2 0.2500 0.7500 0.5000 [2 per cell]
Y1 0.2500 0.2500 0.8728 [2 per cell]